[1]
Starting from a crystal structure in Alexandria, relaxed with PBE, the X-ray diffraction stick pattern of La3Tb2Pm3 was computed for copper Kα.
No peak broadening, texture or thermal motion is included.

Cell and atoms:
```
data_La3Tb2Pm3
_chemical_formula_sum 'La3 Tb2 Pm3'
_cell_length_a 6.3355
_cell_length_b 6.3573
_cell_length_c 8.1913
_cell_angle_alpha 105.00
_cell_angle_beta 104.88
_cell_angle_gamma 109.33
_space_group_name_H-M_alt 'P -1'
_space_group_IT_number 2
loop_
_space_group_symop_operation_xyz
'x,y,z'
'-x,-y,-z'
loop_
_atom_site_label
_atom_site_fract_x
_atom_site_fract_y
_atom_site_fract_z
La1 0.0000 0.0000 0.0000
La2 0.1257 0.6255 0.2517
Tb1 0.2507 0.2501 0.5007
Pm1 0.3737 0.8734 0.7469
Pm2 0.5000 0.5000 0.0000
```

Main lines, low angle first (10 to 90 degrees two-theta):
| 2theta | intensity |
| --- | --- |
| 29.84 | 100 |
| 29.89 | 33 |
| 34.58 | 45 |
| 34.65 | 22 |
| 49.70 | 32 |
| 49.83 | 16 |
| 59.07 | 24 |
| 59.19 | 24 |
| 62.06 | 12 |
| 80.76 | 10 |



[2]
Starting from a crystal structure in Alexandria, relaxed with PBE, the X-ray diffraction stick pattern of CaErAs2O8 was computed for copper Kα.
No peak broadening, texture or thermal motion is included.

Cell and atoms:
```
data_CaErAs2O8
_chemical_formula_sum 'Ca2 Er2 As4 O16'
_cell_length_a 5.0670
_cell_length_b 5.0670
_cell_length_c 11.4529
_cell_angle_alpha 90.00
_cell_angle_beta 90.00
_cell_angle_gamma 90.00
_space_group_name_H-M_alt 'I -4'
_space_group_IT_number 82
loop_
_space_group_symop_operation_xyz
'x,y,z'
'y,-x,-z'
'-x,-y,z'
'-y,x,-z'
'x+1/2,y+1/2,z+1/2'
'y+1/2,-x+1/2,-z+1/2'
'-x+1/2,-y+1/2,z+1/2'
'-y+1/2,x+1/2,-z+1/2'
loop_
_atom_site_label
_atom_site_fract_x
_atom_site_fract_y
_atom_site_fract_z
Ca1 0.0000 0.0000 0.0000
Er1 0.0000 0.5000 0.7500
As1 0.0000 0.0000 0.5000
As2 0.0000 0.5000 0.2500
O1 0.1383 0.2515 0.5818
O2 0.1509 0.7521 0.1734
```

Main lines, low angle first (10 to 90 degrees two-theta):
| 2theta | intensity |
| --- | --- |
| 15.47 | 13 |
| 19.15 | 18 |
| 29.41 | 100 |
| 31.24 | 15 |
| 35.43 | 18 |
| 47.95 | 30 |
| 50.98 | 12 |
| 54.47 | 17 |
| 59.94 | 28 |
| 77.83 | 12 |



[3]
Starting from a crystal structure in Alexandria, relaxed with PBE, the X-ray diffraction stick pattern of DyTiSb3 was computed for copper Kα.
No peak broadening, texture or thermal motion is included.

Cell and atoms:
```
data_DyTiSb3
_chemical_formula_sum 'Dy4 Ti4 Sb12'
_cell_length_a 12.9245
_cell_length_b 6.2914
_cell_length_c 6.1469
_cell_angle_alpha 90.00
_cell_angle_beta 90.00
_cell_angle_gamma 90.00
_space_group_name_H-M_alt 'P b c m'
_space_group_IT_number 57
loop_
_space_group_symop_operation_xyz
'x,y,z'
'-x,-y,-z'
'-x,-y,z+1/2'
'x,y,-z+1/2'
'x,-y+1/2,-z'
'-x,y+1/2,z'
'-x,y+1/2,-z+1/2'
'x,-y+1/2,z+1/2'
loop_
_atom_site_label
_atom_site_fract_x
_atom_site_fract_y
_atom_site_fract_z
Dy1 0.1837 0.0091 0.2500
Ti1 0.4060 0.7500 0.0000
Sb1 0.0028 0.7500 0.0000
Sb2 0.2669 0.5018 0.2500
Sb3 0.4262 0.1124 0.2500
```

Main lines, low angle first (10 to 90 degrees two-theta):
| 2theta | intensity |
| --- | --- |
| 29.03 | 67 |
| 31.63 | 89 |
| 32.25 | 58 |
| 34.45 | 100 |
| 34.70 | 30 |
| 35.33 | 42 |
| 35.89 | 36 |
| 41.06 | 76 |
| 68.58 | 28 |
| 69.60 | 27 |



[4]
Starting from a crystal structure in Alexandria, relaxed with PBE, the X-ray diffraction stick pattern of NaCdIn2Rh was computed for copper Kα.
No peak broadening, texture or thermal motion is included.

Cell and atoms:
```
data_NaCdIn2Rh
_chemical_formula_sum 'Na1 Cd1 In2 Rh1'
_cell_length_a 5.1329
_cell_length_b 5.1329
_cell_length_c 5.2853
_cell_angle_alpha 90.00
_cell_angle_beta 90.00
_cell_angle_gamma 90.00
_space_group_name_H-M_alt 'P 4/m m m'
_space_group_IT_number 123
_space_group_name_Hall '-P 4 2'
loop_
_atom_site_label
_atom_site_fract_x
_atom_site_fract_y
_atom_site_fract_z
Na1 0.0000 0.0000 0.0000
Cd1 0.5000 0.5000 0.0000
In1 0.0000 0.5000 0.5000
Rh1 0.5000 0.5000 0.5000
```

Main lines, low angle first (10 to 90 degrees two-theta):
| 2theta | intensity |
| --- | --- |
| 16.77 | 54 |
| 17.28 | 98 |
| 29.86 | 95 |
| 33.92 | 54 |
| 34.96 | 100 |
| 38.31 | 26 |
| 39.01 | 26 |
| 49.51 | 72 |
| 50.28 | 35 |
| 62.04 | 36 |



[5]
Starting from a crystal structure in Alexandria, relaxed with PBE, the X-ray diffraction stick pattern of TbPr3Nd was computed for copper Kα.
No peak broadening, texture or thermal motion is included.

Cell and atoms:
```
data_TbPr3Nd
_chemical_formula_sum 'Tb4 Pr12 Nd4'
_cell_length_a 17.7376
_cell_length_b 6.9416
_cell_length_c 6.1566
_cell_angle_alpha 90.00
_cell_angle_beta 110.04
_cell_angle_gamma 90.00
_space_group_name_H-M_alt 'C 1 2/m 1'
_space_group_IT_number 12
loop_
_space_group_symop_operation_xyz
'x,y,z'
'-x,-y,-z'
'-x,y,-z'
'x,-y,z'
'x+1/2,y+1/2,z'
'-x+1/2,-y+1/2,-z'
'-x+1/2,y+1/2,-z'
'x+1/2,-y+1/2,z'
loop_
_atom_site_label
_atom_site_fract_x
_atom_site_fract_y
_atom_site_fract_z
Tb1 0.0504 0.0000 0.2997
Pr1 0.1526 0.2330 0.9022
Pr2 0.2259 0.5000 0.4749
Nd1 0.0000 0.5000 0.0000
Nd2 0.0000 0.5000 0.5000
```

Main lines, low angle first (10 to 90 degrees two-theta):
| 2theta | intensity |
| --- | --- |
| 27.85 | 19 |
| 28.85 | 20 |
| 28.98 | 50 |
| 30.04 | 100 |
| 30.44 | 41 |
| 30.56 | 41 |
| 32.26 | 48 |
| 33.61 | 58 |
| 51.46 | 22 |
| 52.07 | 31 |



[6]
Starting from a crystal structure in Alexandria, relaxed with PBE, the X-ray diffraction stick pattern of Nd4Al3Zn was computed for copper Kα.
No peak broadening, texture or thermal motion is included.

Cell and atoms:
```
data_Nd4Al3Zn
_chemical_formula_sum 'Nd4 Al3 Zn1'
_cell_length_a 3.8000
_cell_length_b 4.5561
_cell_length_c 12.1930
_cell_angle_alpha 90.00
_cell_angle_beta 90.00
_cell_angle_gamma 90.00
_space_group_name_H-M_alt 'P m m 2'
_space_group_IT_number 25
loop_
_space_group_symop_operation_xyz
'x,y,z'
'-x,-y,z'
'-x,y,z'
'x,-y,z'
loop_
_atom_site_label
_atom_site_fract_x
_atom_site_fract_y
_atom_site_fract_z
Nd1 0.0000 0.0000 0.0000
Nd2 0.0000 0.5000 0.3048
Nd3 0.5000 0.0000 0.4956
Nd4 0.5000 0.5000 0.8052
Al1 0.0000 0.0000 0.7147
Al2 0.0000 0.5000 0.5877
Al3 0.5000 0.5000 0.0898
Zn1 0.5000 0.0000 0.2152
```

Main lines, low angle first (10 to 90 degrees two-theta):
| 2theta | intensity |
| --- | --- |
| 24.39 | 62 |
| 29.30 | 20 |
| 31.52 | 100 |
| 32.25 | 63 |
| 35.43 | 36 |
| 37.96 | 17 |
| 39.56 | 25 |
| 48.66 | 20 |
| 51.93 | 33 |
| 60.95 | 15 |